Theoretical X-ray diffraction stick pattern of LiZn4Si2Ir for λ = 1.5418 Å (Cu Kα), from a structure optimized by DFT (GGA-PBE).
Peak positions follow from Bragg's law for the DFT cell and can differ from measured ones.

Structure:
```
8
Lattice="4.122 0.000 0.000 -2.061 3.570 0.000 0.000 0.000 8.047" Properties=species:S:1:pos:R:3 pbc="T T T"
Li 0.000 0.000 0.000
Zn 0.000 0.000 2.610
Zn 0.000 0.000 5.438
Zn 0.000 2.380 1.332
Zn 0.000 2.380 6.716
Si 2.061 1.190 0.000
Si 2.061 1.190 4.024
Ir 0.000 2.380 4.024
```

Principal peaks in the range 10 to 90 degrees two-theta, most intense first:
two_theta, intensity
42.14, 1000
10.99, 708
43.93, 707
24.94, 643
33.56, 325
62.50, 302
79.52, 296
86.59, 187
27.33, 176
45.43, 140

***

Theoretical X-ray diffraction stick pattern of LiSn5Ir3 for λ = 1.5418 Å (Cu Kα), from a structure optimized by DFT (GGA-PBE).
Peak positions follow from Bragg's law for the DFT cell and can differ from measured ones.

Structure:
```
9
Lattice="5.581 0.000 0.000 -2.791 4.833 0.000 0.000 0.000 7.746" Properties=species:S:1:pos:R:3 pbc="T T T"
Li 0.000 0.000 0.000
Sn 0.000 0.000 3.873
Sn 0.000 3.222 1.618
Sn 0.000 3.222 6.128
Sn 2.791 1.611 1.618
Sn 2.791 1.611 6.128
Ir -1.395 2.417 3.873
Ir 2.791 0.000 3.873
Ir 1.395 2.417 3.873
```

Principal peaks in the range 10 to 90 degrees two-theta, most intense first:
two_theta, intensity
11.42, 1000
44.17, 602
39.04, 575
18.36, 316
34.74, 248
39.81, 232
32.07, 158
77.81, 153
67.08, 152
72.47, 147